No. 1
# NaAcAg2Cl8
Theoretical powder diffractogram, λ = 1.5418 Å (Cu Kα). Input: a GGA-PBE-relaxed structure.

Lattice parameters (Å, degrees): 8.408 8.408 8.408 131.31 131.31 71.32
Fractional positions:
Na1 0.000 0.000 0.000
Ac1 0.250 0.750 0.500
Ag1 0.500 0.500 0.000
Ag2 0.750 0.250 0.500
Cl1 0.270 0.408 0.545
Cl2 0.275 0.730 0.138
Cl3 0.390 0.029 0.051
Cl4 0.592 0.137 0.862
Cl5 0.661 0.610 0.639
Cl6 0.863 0.725 0.455
Cl7 0.971 0.021 0.361
Cl8 0.979 0.339 0.949

Top 8 peaks for 10° ≤ 2θ ≤ 90°, by intensity:
22.32 deg, I = 100; 43.35 deg, I = 53; 36.95 deg, I = 34; 14.33 deg, I = 26; 36.67 deg, I = 23; 43.84 deg, I = 22; 29.55 deg, I = 21; 31.94 deg, I = 19

---

No. 2
# Ac2Ag2S3Cl2
Theoretical powder diffractogram, λ = 1.5418 Å (Cu Kα). Input: a GGA-PBE-relaxed structure.

Lattice parameters (Å, degrees): 10.111 10.111 10.111 151.62 151.62 40.56
Fractional positions:
Ac1 0.170 0.170 0.000
Ac2 0.830 0.830 0.000
Ag1 0.000 0.500 0.500
Ag2 0.500 0.000 0.500
S1 0.000 0.000 0.000
S2 0.250 0.750 0.500
S3 0.750 0.250 0.500
Cl1 0.397 0.397 0.000
Cl2 0.603 0.603 0.000

Top 8 peaks for 10° ≤ 2θ ≤ 90°, by intensity:
22.80 deg, I = 100; 31.75 deg, I = 81; 36.25 deg, I = 77; 27.12 deg, I = 54; 29.65 deg, I = 50; 43.25 deg, I = 40; 18.50 deg, I = 40; 46.56 deg, I = 37

---

No. 3
# AcAgSnCl6
Theoretical powder diffractogram, λ = 1.5418 Å (Cu Kα). Input: a GGA-PBE-relaxed structure.

Lattice parameters (Å, degrees): 6.701 6.701 12.939 90.00 90.00 90.00
Fractional positions:
Ac1 0.000 0.000 0.000
Ac2 0.500 0.500 0.500
Ag1 0.000 0.000 0.330
Ag2 0.500 0.500 0.830
Sn1 0.000 0.000 0.666
Sn2 0.500 0.500 0.166
Cl1 0.194 0.194 0.493
Cl2 0.198 0.198 0.171
Cl3 0.199 0.199 0.830
Cl4 0.301 0.699 0.330
Cl5 0.302 0.698 0.671
Cl6 0.306 0.694 0.993
Cl7 0.694 0.306 0.993
Cl8 0.698 0.302 0.671
Cl9 0.699 0.301 0.330
Cl10 0.801 0.801 0.830
Cl11 0.802 0.802 0.171
Cl12 0.806 0.806 0.493

Top 8 peaks for 10° ≤ 2θ ≤ 90°, by intensity:
18.73 deg, I = 100; 36.51 deg, I = 86; 24.55 deg, I = 66; 45.74 deg, I = 34; 37.98 deg, I = 25; 46.25 deg, I = 19; 42.67 deg, I = 17; 60.91 deg, I = 15

---

No. 4
# AcTl2AgCl6
Theoretical powder diffractogram, λ = 1.5418 Å (Cu Kα). Input: a GGA-PBE-relaxed structure.

Lattice parameters (Å, degrees): 7.541 7.974 12.910 90.00 124.48 90.00
Fractional positions:
Ac1 0.000 0.000 0.000
Ac2 0.000 0.500 0.500
Tl1 0.279 0.072 0.753
Tl2 0.279 0.428 0.253
Tl3 0.721 0.572 0.747
Tl4 0.721 0.928 0.247
Ag1 0.500 0.000 0.500
Ag2 0.500 0.500 0.000
Cl1 0.147 0.033 0.260
Cl2 0.147 0.467 0.760
Cl3 0.250 0.699 0.056
Cl4 0.250 0.801 0.556
Cl5 0.366 0.194 0.055
Cl6 0.366 0.306 0.555
Cl7 0.634 0.694 0.445
Cl8 0.634 0.806 0.945
Cl9 0.750 0.199 0.444
Cl10 0.750 0.301 0.944
Cl11 0.853 0.533 0.240
Cl12 0.853 0.967 0.740

Top 8 peaks for 10° ≤ 2θ ≤ 90°, by intensity:
23.49 deg, I = 100; 23.12 deg, I = 98; 32.69 deg, I = 49; 23.60 deg, I = 47; 33.68 deg, I = 46; 22.30 deg, I = 40; 41.65 deg, I = 32; 40.98 deg, I = 30

---

No. 5
# Ac8Co3Ag2
Theoretical powder diffractogram, λ = 1.5418 Å (Cu Kα). Input: a GGA-PBE-relaxed structure.

Lattice parameters (Å, degrees): 9.168 9.168 7.275 106.95 106.95 55.31
Fractional positions:
Ac1 0.103 0.103 0.242
Ac2 0.140 0.654 0.251
Ac3 0.346 0.860 0.749
Ac4 0.391 0.391 0.775
Ac5 0.609 0.609 0.225
Ac6 0.654 0.140 0.251
Ac7 0.860 0.346 0.749
Ac8 0.897 0.897 0.758
Co1 0.000 0.000 0.500
Co2 0.257 0.743 0.000
Co3 0.743 0.257 0.000
Ag1 0.251 0.251 0.017
Ag2 0.749 0.749 0.983

Top 8 peaks for 10° ≤ 2θ ≤ 90°, by intensity:
29.06 deg, I = 100; 25.34 deg, I = 54; 28.62 deg, I = 48; 42.94 deg, I = 36; 39.48 deg, I = 30; 25.94 deg, I = 27; 23.20 deg, I = 24; 42.49 deg, I = 19

---

No. 6
# Ac4CoAg
Theoretical powder diffractogram, λ = 1.5418 Å (Cu Kα). Input: a GGA-PBE-relaxed structure.

Lattice parameters (Å, degrees): 5.777 8.356 8.695 90.00 90.00 90.00
Fractional positions:
Ac1 0.250 0.039 0.170
Ac2 0.250 0.250 0.750
Ac3 0.250 0.461 0.170
Ac4 0.250 0.750 0.557
Ac5 0.750 0.250 0.443
Ac6 0.750 0.539 0.830
Ac7 0.750 0.750 0.250
Ac8 0.750 0.961 0.830
Co1 0.250 0.250 0.433
Co2 0.750 0.750 0.567
Ag1 0.250 0.750 0.931
Ag2 0.750 0.250 0.069

Top 8 peaks for 10° ≤ 2θ ≤ 90°, by intensity:
28.29 deg, I = 100; 27.81 deg, I = 54; 30.96 deg, I = 51; 32.70 deg, I = 27; 23.63 deg, I = 22; 25.64 deg, I = 22; 45.65 deg, I = 21; 43.34 deg, I = 19

---

No. 7
# AcCoAgH6
Theoretical powder diffractogram, λ = 1.5418 Å (Cu Kα). Input: a GGA-PBE-relaxed structure.

Lattice parameters (Å, degrees): 4.781 4.781 4.477 90.00 90.00 120.00
Fractional positions:
Ac1 0.000 0.000 0.000
Co1 0.667 0.333 0.500
Ag1 0.333 0.667 0.500
H1 0.527 0.054 0.254
H2 0.527 0.054 0.746
H3 0.527 0.473 0.254
H4 0.527 0.473 0.746
H5 0.946 0.473 0.254
H6 0.946 0.473 0.746

Top 8 peaks for 10° ≤ 2θ ≤ 90°, by intensity:
29.38 deg, I = 100; 37.62 deg, I = 42; 56.30 deg, I = 26; 48.44 deg, I = 25; 62.91 deg, I = 23; 21.46 deg, I = 20; 40.29 deg, I = 11; 66.61 deg, I = 10

---

No. 8
# Ac2La2CoAg2
Theoretical powder diffractogram, λ = 1.5418 Å (Cu Kα). Input: a GGA-PBE-relaxed structure.

Lattice parameters (Å, degrees): 4.105 7.531 7.928 110.52 104.77 90.18
Fractional positions:
Ac1 0.207 0.208 0.411
Ac2 0.793 0.792 0.589
La1 0.477 0.225 0.956
La2 0.523 0.775 0.044
Co1 0.000 0.000 0.000
Ag1 0.115 0.560 0.232
Ag2 0.885 0.440 0.768

Top 8 peaks for 10° ≤ 2θ ≤ 90°, by intensity:
32.41 deg, I = 100; 31.99 deg, I = 95; 27.02 deg, I = 88; 28.46 deg, I = 81; 28.66 deg, I = 69; 28.76 deg, I = 66; 44.13 deg, I = 49; 23.85 deg, I = 39